[1]
The following is a simulated PXRD pattern of Na2I2Cl7. It was derived from DFT lattice parameters and positions (PBE), using Cu Kα (λ = 1.5418 Å).
Lines closer than 0.1° are merged.

Structure:
```
data_Na2I2Cl7
_symmetry_space_group_name_H-M 'P 1 21/c 1'
_symmetry_Int_Tables_number 14
_cell_length_a 7.2600
_cell_length_b 13.2260
_cell_length_c 7.9371
_cell_angle_alpha 90.00
_cell_angle_beta 102.18
_cell_angle_gamma 90.00
loop_
_symmetry_equiv_pos_as_xyz
'x,y,z'
'-x,-y,-z'
'-x,y+1/2,-z+1/2'
'x,-y+1/2,z+1/2'
loop_
_atom_site_label
_atom_site_type_symbol
_atom_site_fract_x
_atom_site_fract_y
_atom_site_fract_z
_atom_site_occupancy
Na1 Na 0.2247 0.2291 0.4479 1
I1 I 0.2897 0.5774 0.2142 1
Cl1 Cl 0.0097 0.6602 0.3537 1
Cl2 Cl 0.1190 0.0889 0.6944 1
Cl3 Cl 0.4822 0.7405 0.2422 1
Cl4 Cl 0.5000 0.0000 0.5000 1
```

Top 6 peaks for 10 to 90 degrees two-theta, by intensity:
d_spacing, intensity, (hkl)
4.479, 100, 1 1 1
5.382, 60, 1 1 -1
5.033, 58, 0 2 1
3.746, 42, 1 3 0
3.879, 34, 0 0 2
2.879, 26, 2 1 -2



[2]
The following is a simulated PXRD pattern of NaTlSn2Br6. It was derived from DFT lattice parameters and positions (PBE), using Cu Kα (λ = 1.5418 Å).
Lines closer than 0.1° are merged.

Structure:
```
data_NaTlSn2Br6
_symmetry_space_group_name_H-M 'P 1'
_symmetry_Int_Tables_number 1
_cell_length_a 7.6451
_cell_length_b 7.9450
_cell_length_c 8.1334
_cell_angle_alpha 63.07
_cell_angle_beta 63.21
_cell_angle_gamma 62.27
loop_
_symmetry_equiv_pos_as_xyz
'x,y,z'
loop_
_atom_site_label
_atom_site_type_symbol
_atom_site_fract_x
_atom_site_fract_y
_atom_site_fract_z
_atom_site_occupancy
Na1 Na 0.0000 0.0000 0.0000 1
Tl1 Tl 0.5274 0.5102 0.4610 1
Sn1 Sn 0.3324 0.2962 0.0675 1
Sn2 Sn 0.8265 0.8087 0.5848 1
Br1 Br 0.0933 0.7098 0.7963 1
Br2 Br 0.1400 0.6043 0.3185 1
Br3 Br 0.3993 0.1004 0.8185 1
Br4 Br 0.5831 0.9527 0.2853 1
Br5 Br 0.7062 0.3969 0.8244 1
Br6 Br 0.9500 0.1475 0.3192 1
```

Top 6 peaks for 10 to 90 degrees two-theta, by intensity:
d_spacing, intensity, (hkl)
3.472, 100, 1 2 0
2.828, 60, 2 2 0
3.320, 53, 2 1 2
5.657, 47, 1 1 0
2.344, 40, 0 3 1
2.633, 39, 1 2 -1



[3]
The following is a simulated PXRD pattern of Cd5Ir3. It was derived from DFT lattice parameters and positions (PBE), using Cu Kα (λ = 1.5418 Å).
Lines closer than 0.1° are merged.

Structure:
```
data_Cd5Ir3
_symmetry_space_group_name_H-M 'P 63/m c m'
_symmetry_Int_Tables_number 193
_symmetry_space_group_name_Hall '-P 6c 2'
_cell_length_a 8.0943
_cell_length_b 8.0943
_cell_length_c 5.3220
_cell_angle_alpha 90.00
_cell_angle_beta 90.00
_cell_angle_gamma 120.00
loop_
_atom_site_label
_atom_site_type_symbol
_atom_site_fract_x
_atom_site_fract_y
_atom_site_fract_z
_atom_site_occupancy
Cd1 Cd 0.0000 0.2473 0.2500 1
Cd2 Cd 0.3333 0.6667 0.0000 1
Ir1 Ir 0.0000 0.3973 0.7500 1
```

Top 6 peaks for 10 to 90 degrees two-theta, by intensity:
d_spacing, intensity, (hkl)
2.372, 100, 2 1 1
2.223, 63, 1 1 2
2.337, 45, 3 0 0
1.826, 30, 3 1 1
2.661, 23, 0 0 2
1.474, 22, 2 1 3



[4]
The following is a simulated PXRD pattern of Pa6Tc3Ru. It was derived from DFT lattice parameters and positions (PBE), using Cu Kα (λ = 1.5418 Å).
Lines closer than 0.1° are merged.

Structure:
```
data_Pa6Tc3Ru
_symmetry_space_group_name_H-M 'R -3'
_symmetry_Int_Tables_number 148
_symmetry_space_group_name_Hall '-R 3'
_cell_length_a 11.9022
_cell_length_b 11.9022
_cell_length_c 11.7876
_cell_angle_alpha 90.00
_cell_angle_beta 90.00
_cell_angle_gamma 120.00
loop_
_atom_site_label
_atom_site_type_symbol
_atom_site_fract_x
_atom_site_fract_y
_atom_site_fract_z
_atom_site_occupancy
Pa1 Pa 0.0197 0.8104 0.3832 1
Pa2 Pa 0.0692 0.8553 0.8715 1
Tc1 Tc 0.0312 0.7499 0.6323 1
Ru1 Ru 0.0000 0.0000 0.0000 1
Ru2 Ru 0.0000 0.0000 0.5000 1
```

Top 6 peaks for 10 to 90 degrees two-theta, by intensity:
d_spacing, intensity, (hkl)
3.250, 100, 1 2 2
2.572, 86, 4 -1 2
2.249, 73, 4 1 0
2.350, 69, 3 -1 4
2.833, 53, 1 0 4
3.880, 40, 2 0 2